Structure and theoretical X-ray powder pattern of Pm5InGe3 (the GGA-PBE geometry in Alexandria; Cu Kα (λ = 1.5418 Å)).
Intensities are scaled so that the largest is 100.

Cell and atoms:
Cell: 9.2042 9.2042 6.4516 Å, 90.00 90.00 120.00°
Space group P6_3/mcm (No. 193)
Asymmetric unit:
Pm1 0.0000 0.2918 0.2500 x6
Pm2 0.3333 0.6667 0.0000 x4
In1 0.0000 0.0000 0.0000 x2
Ge1 0.0000 0.3685 0.7500 x6

Peak list (10 most intense, 10° ≤ 2θ ≤ 90°, sorted by position)
2theta  intensity
23.75  14
32.81  24
33.73  90
33.94  100
48.60  32
60.34  10
60.47  26
66.95  9
67.99  23
81.02  12

***

Structure and theoretical X-ray powder pattern of TbSm2SnC (the GGA-PBE geometry in Alexandria; Cu Kα (λ = 1.5418 Å)).
Intensities are scaled so that the largest is 100.

Cell and atoms:
Cell: 5.028 5.028 4.930 Å, 90.00 90.00 90.00°
Space group P4/mmm (No. 123)
Asymmetric unit:
Tb1 0.000 0.000 0.000 x1
Sm1 0.000 0.500 0.500 x2
Sn1 0.500 0.500 0.000 x1
C1 0.000 0.000 0.500 x1

Peak list (10 most intense, 10° ≤ 2θ ≤ 90°, sorted by position)
2theta  intensity
31.01  100
35.72  37
36.45  18
51.40  13
51.95  25
61.26  29
62.24  14
64.65  13
83.99  6
84.86  12

***

Structure and theoretical X-ray powder pattern of YCo2Ir (the GGA-PBE geometry in Alexandria; Cu Kα (λ = 1.5418 Å)).
Intensities are scaled so that the largest is 100.

Cell and atoms:
Cell: 4.1689 4.1689 13.9210 Å, 90.00 90.00 120.00°
Space group R-3m (No. 166, hexagonal axes)
Asymmetric unit:
Y1 0.0000 0.0000 0.0000 x3
Co1 0.0000 0.0000 0.1912 x6
Ir1 0.0000 0.0000 0.5000 x3

Peak list (10 most intense, 10° ≤ 2θ ≤ 90°, sorted by position)
2theta  intensity
19.13  74
27.84  71
35.84  89
38.81  35
43.41  100
47.84  41
57.51  23
59.63  59
72.81  19
74.72  21